# 1
PrHfNbO6: computed powder XRD pattern (Cu Ka), based on DFT lattice parameters and positions (GGA-PBE).
Intensities are scaled so that the largest is 100.

Main lines, by intensity (2θ = 10–90°):
d (Å), Position (°2θ), I/Imax
3.454, 25.79, 100
1.857, 49.05, 45
2.711, 33.04, 45
2.133, 42.38, 25
1.676, 54.76, 25
1.565, 59.01, 15
5.098, 17.40, 13
1.598, 57.69, 10
1.197, 80.19, 10
2.394, 37.57, 10

Structural model:
Cell lengths 5.4228, 5.4228, 10.1961 Å; angles 90.00, 90.00, 120.00 degrees
Element x y z (fractional)
Pr 0.0000 0.0000 0.0000
Pr 0.0000 0.0000 0.5000
Hf 0.3333 0.6667 0.2500
Hf 0.6667 0.3333 0.7500
Nb 0.3333 0.6667 0.7500
Nb 0.6667 0.3333 0.2500
O 0.0088 0.3686 0.6413
O 0.0088 0.6401 0.8587
O 0.3599 0.3686 0.8587
O 0.3599 0.9912 0.6413
O 0.3686 0.0088 0.1413
O 0.3686 0.3599 0.3587
O 0.6314 0.6401 0.6413
O 0.6314 0.9912 0.8587
O 0.6401 0.0088 0.3587
O 0.6401 0.6314 0.1413
O 0.9912 0.3599 0.1413
O 0.9912 0.6314 0.3587



# 2
Ti5Nb5Sb6: computed powder XRD pattern (Cu Ka), based on DFT lattice parameters and positions (GGA-PBE).
Intensities are scaled so that the largest is 100.

Main lines, by intensity (2θ = 10–90°):
d (Å), Position (°2θ), I/Imax
2.386, 37.70, 100
2.250, 40.08, 60
2.704, 33.14, 48
2.380, 37.80, 44
2.346, 38.37, 30
3.244, 27.49, 24
4.056, 21.91, 23
1.492, 62.23, 22
1.897, 47.96, 18
2.652, 33.80, 16

Structural model:
Cell lengths 5.4071, 8.1033, 8.1033 Å; angles 119.72, 90.00, 90.00 degrees
Element x y z (fractional)
Ti 0.0000 0.0000 0.0000
Ti 0.2438 0.0659 0.4001
Ti 0.2438 0.4001 0.0659
Ti 0.7562 0.0659 0.4001
Ti 0.7562 0.4001 0.0659
Nb 0.0000 0.4627 0.7314
Nb 0.0000 0.7314 0.4627
Nb 0.5000 0.5215 0.5215
Nb 0.5000 0.7331 0.9326
Nb 0.5000 0.9326 0.7331
Sb 0.0000 0.1087 0.7358
Sb 0.0000 0.3505 0.3505
Sb 0.0000 0.7358 0.1087
Sb 0.5000 0.1376 0.1376
Sb 0.5000 0.3246 0.7326
Sb 0.5000 0.7326 0.3246



# 3
Li2PrTlAu2: computed powder XRD pattern (Cu Ka), based on DFT lattice parameters and positions (GGA-PBE).
Intensities are scaled so that the largest is 100.

Main lines, by intensity (2θ = 10–90°):
d (Å), Position (°2θ), I/Imax
2.599, 34.51, 100
3.465, 25.71, 83
2.325, 38.73, 70
1.733, 52.84, 30
1.389, 67.41, 29
1.373, 68.33, 26
1.976, 45.93, 19
1.931, 47.07, 17
1.485, 62.53, 15
1.342, 70.10, 12

Structural model:
Cell lengths 4.6501, 4.6501, 6.8032 Å; angles 90.00, 90.00, 120.00 degrees
Element x y z (fractional)
Li 0.3333 0.6667 0.1636
Li 0.6667 0.3333 0.8364
Pr 0.0000 0.0000 0.5000
Tl 0.0000 0.0000 0.0000
Au 0.3333 0.6667 0.7524
Au 0.6667 0.3333 0.2476



# 4
B2Ru5: computed powder XRD pattern (Cu Ka), based on DFT lattice parameters and positions (GGA-PBE).
Intensities are scaled so that the largest is 100.

Main lines, by intensity (2θ = 10–90°):
d (Å), Position (°2θ), I/Imax
2.232, 40.41, 100
2.204, 40.94, 80
2.157, 41.88, 34
2.374, 37.90, 32
2.188, 41.26, 32
1.264, 75.15, 29
2.363, 38.09, 28
2.149, 42.05, 24
2.048, 44.23, 24
1.964, 46.22, 21

Structural model:
Cell lengths 6.7863, 6.7863, 5.4388 Å; angles 96.74, 96.74, 41.70 degrees
Element x y z (fractional)
B 0.0696 0.7059 0.9224
B 0.2941 0.9304 0.5776
B 0.7059 0.0696 0.4224
B 0.9304 0.2941 0.0776
Ru 0.0888 0.9112 0.2500
Ru 0.1250 0.3097 0.8004
Ru 0.3097 0.1250 0.3004
Ru 0.3117 0.4981 0.5849
Ru 0.4981 0.3117 0.0849
Ru 0.5019 0.6883 0.9151
Ru 0.6883 0.5019 0.4151
Ru 0.6903 0.8750 0.6996
Ru 0.8750 0.6903 0.1996
Ru 0.9112 0.0888 0.7500



# 5
Sc3TcC2: computed powder XRD pattern (Cu Ka), based on DFT lattice parameters and positions (GGA-PBE).
Intensities are scaled so that the largest is 100.

Main lines, by intensity (2θ = 10–90°):
d (Å), Position (°2θ), I/Imax
2.490, 36.07, 100
2.698, 33.21, 63
2.374, 37.90, 63
1.562, 59.14, 33
4.062, 21.88, 31
2.307, 39.04, 30
2.535, 35.40, 28
2.922, 30.59, 25
4.747, 18.69, 24
2.031, 44.61, 24

Structural model:
Cell lengths 6.2813, 6.2813, 6.2813 Å; angles 119.78, 99.42, 109.86 degrees
Element x y z (fractional)
Sc 0.2102 0.0000 0.7102
Sc 0.2102 0.5000 0.2102
Sc 0.2744 0.0244 0.2500
Sc 0.7256 0.9756 0.7500
Sc 0.7898 0.0000 0.2898
Sc 0.7898 0.5000 0.7898
Tc 0.3271 0.5771 0.7500
Tc 0.6729 0.4229 0.2500
C 0.0487 0.2987 0.7500
C 0.5000 0.0000 0.0000
C 0.5000 0.5000 0.5000
C 0.9513 0.7013 0.2500



# 6
CeDyInOs: computed powder XRD pattern (Cu Ka), based on DFT lattice parameters and positions (GGA-PBE).
Intensities are scaled so that the largest is 100.

Main lines, by intensity (2θ = 10–90°):
d (Å), Position (°2θ), I/Imax
2.633, 34.06, 100
2.372, 37.93, 44
1.415, 66.05, 31
8.496, 10.41, 30
2.164, 41.74, 16
1.677, 54.73, 15
1.582, 58.31, 13
2.124, 42.56, 8
1.316, 71.70, 7
1.326, 71.12, 7

Structural model:
Cell lengths 3.3543, 3.3543, 8.4963 Å; angles 90.00, 90.00, 90.00 degrees
Element x y z (fractional)
Ce 0.0000 0.0000 0.0000
Dy 0.0000 0.0000 0.4107
In 0.5000 0.5000 0.6994
Os 0.5000 0.5000 0.2062



# 7
Pa2Mn12Si7: computed powder XRD pattern (Cu Ka), based on DFT lattice parameters and positions (GGA-PBE).
Intensities are scaled so that the largest is 100.

Main lines, by intensity (2θ = 10–90°):
d (Å), Position (°2θ), I/Imax
2.386, 37.71, 100
2.755, 32.50, 25
3.371, 26.44, 22
4.774, 18.58, 18
1.805, 50.58, 17
8.270, 10.70, 15
1.439, 64.80, 14
1.687, 54.38, 13
1.846, 49.38, 12
3.126, 28.56, 12

Structural model:
Cell lengths 9.5489, 9.5489, 3.6911 Å; angles 90.00, 90.00, 120.00 degrees
Element x y z (fractional)
Pa 0.0000 0.0000 0.0000
Pa 0.3333 0.6667 0.5000
Mn 0.0491 0.2850 0.5000
Mn 0.1019 0.7194 0.0000
Mn 0.2359 0.9509 0.5000
Mn 0.2806 0.3824 0.0000
Mn 0.3873 0.1767 0.0000
Mn 0.5488 0.4325 0.5000
Mn 0.5675 0.1162 0.5000
Mn 0.6176 0.8981 0.0000
Mn 0.7150 0.7641 0.5000
Mn 0.7894 0.6127 0.0000
Mn 0.8233 0.2106 0.0000
Mn 0.8838 0.4512 0.5000
Si 0.0716 0.4550 0.0000
Si 0.2551 0.2131 0.5000
Si 0.3834 0.9284 0.0000
Si 0.5450 0.6166 0.0000
Si 0.6667 0.3333 0.0000
Si 0.7869 0.0420 0.5000
Si 0.9580 0.7449 0.5000



# 8
PaTiS2N: computed powder XRD pattern (Cu Ka), based on DFT lattice parameters and positions (GGA-PBE).
Intensities are scaled so that the largest is 100.

Main lines, by intensity (2θ = 10–90°):
d (Å), Position (°2θ), I/Imax
3.165, 28.19, 100
2.756, 32.49, 73
2.594, 34.58, 71
1.998, 45.40, 38
3.521, 25.30, 30
2.382, 37.77, 30
1.834, 49.71, 29
1.587, 58.13, 28
3.131, 28.51, 27
1.626, 56.59, 26

Structural model:
Cell lengths 3.6684, 3.6684, 12.5241 Å; angles 90.00, 90.00, 90.00 degrees
Element x y z (fractional)
Pa 0.2500 0.2500 0.1042
Pa 0.7500 0.7500 0.8958
Ti 0.2500 0.2500 0.5853
Ti 0.7500 0.7500 0.4148
S 0.2500 0.2500 0.3915
S 0.2500 0.2500 0.7905
S 0.7500 0.7500 0.2095
S 0.7500 0.7500 0.6085
N 0.2500 0.7500 0.0000
N 0.7500 0.2500 0.0000